Calculated XRD peak list of BaSi6 for Cu Kα, 1.54184 Å, from a DFT-relaxed cell (PBE, Alexandria).
Lines closer than 0.1° are merged.

Largest 10 diffraction maxima, low angle first, 2θ from 15° to 90°:
2θ 16.90, intensity 21, (0 2 0); 2θ 22.49, intensity 20, (0 2 2); 2θ 22.80, intensity 56, (1 1 1); 2θ 31.12, intensity 100, (1 1 3); 2θ 33.33, intensity 59, (1 3 1); 2θ 34.18, intensity 24, (0 4 0); 2θ 34.38, intensity 63, (0 2 4); 2θ 39.67, intensity 18, (1 3 3); 2θ 40.23, intensity 34, (2 0 0); 2θ 53.93, intensity 33, (2 2 4)

a = 4.483 Å, b = 10.493 Å, c = 12.025 Å
α = 90.00°, β = 90.00°, γ = 90.00°
Space group Cmcm (No. 63)
Inequivalent atoms, fractional coordinates:
Ba (0.000, 0.220, 0.250)
Si (0.000, 0.062, 0.648)
Si (0.000, 0.255, 0.538)
Si (0.000, 0.479, 0.598)

Calculated XRD peak list of LaBN2 for Cu Kα, 1.54184 Å, from a DFT-relaxed cell (PBE, Alexandria).
Lines closer than 0.1° are merged.

Largest 10 diffraction maxima, low angle first, 2θ from 15° to 90°:
2θ 15.03, intensity 41, (1 0 0); 2θ 25.73, intensity 36, (1 1 0); 2θ 26.32, intensity 54, (1 0 -2); 2θ 26.58, intensity 65, (1 -1 2); 2θ 30.10, intensity 90, (0 2 0); 2θ 30.32, intensity 90, (2 0 0); 2θ 30.91, intensity 37, (1 -2 2); 2θ 31.42, intensity 100, (2 -2 0); 2θ 32.16, intensity 76, (0 2 -2); 2θ 40.81, intensity 41, (-1 2 2)

a = 6.637 Å, b = 6.958 Å, c = 7.826 Å
α = 105.90°, β = 90.62°, γ = 116.07°
Space group P-1 (No. 2)
Inequivalent atoms, fractional coordinates:
La (0.034, 0.283, 0.078)
La (0.039, 0.285, 0.563)
La (0.443, 0.161, 0.798)
B (0.233, 0.081, 0.275)
B (0.398, 0.710, 0.827)
B (0.398, 0.722, 0.513)
N (0.014, 0.017, 0.752)
N (0.261, 0.592, 0.338)
N (0.265, 0.555, 0.922)
N (0.272, 0.714, 0.670)
N (0.353, 0.141, 0.457)
N (0.356, 0.133, 0.122)

Calculated XRD peak list of Ac7Y3 for Cu Kα, 1.54184 Å, from a DFT-relaxed cell (PBE, Alexandria).
Lines closer than 0.1° are merged.

Largest 10 diffraction maxima, low angle first, 2θ from 15° to 90°:
2θ 28.28, intensity 100, (1 1 -2); 2θ 32.55, intensity 18, (6 0 -2); 2θ 32.64, intensity 17, (0 2 0); 2θ 33.12, intensity 17, (4 0 2); 2θ 46.76, intensity 13, (6 2 -2); 2θ 47.21, intensity 19, (4 2 2); 2θ 55.41, intensity 8, (11 1 -2); 2θ 55.60, intensity 23, (1 3 -2); 2θ 56.17, intensity 8, (9 1 2); 2θ 56.32, intensity 7, (3 1 4)

a = 19.778 Å, b = 5.487 Å, c = 7.697 Å
α = 90.00°, β = 102.19°, γ = 90.00°
Space group C2/m (No. 12)
Inequivalent atoms, fractional coordinates:
Ac (0.000, 0.000, 0.000)
Ac (0.099, 0.500, 0.301)
Ac (0.103, 0.500, 0.804)
Ac (0.201, 0.000, 0.604)
Y (0.000, 0.000, 0.500)
Y (0.202, 0.000, 0.100)